The following is a calculated XRD peak list of Tb2Tm3Ge4. It was derived from the GGA-PBE geometry in Alexandria, using CuKα.
Lines closer than 0.1° are merged.

Atomic structure:
```
data_Tb2Tm3Ge4
_chemical_formula_sum 'Tb4 Tm6 Ge8'
_cell_length_a 7.8708
_cell_length_b 7.7251
_cell_length_c 7.5361
_cell_angle_alpha 90.00
_cell_angle_beta 112.01
_cell_angle_gamma 90.00
_space_group_name_H-M_alt 'P 1'
_space_group_IT_number 1
loop_
_space_group_symop_operation_xyz
'x,y,z'
loop_
_atom_site_label
_atom_site_fract_x
_atom_site_fract_y
_atom_site_fract_z
_atom_site_occupancy
Tb1 0.1975 0.1801 0.0613 1
Tb2 0.1975 0.3199 0.5613 1
Tb3 0.8025 0.6801 0.4387 1
Tb4 0.8025 0.8199 0.9387 1
Tm1 0.2394 0.6629 0.2302 1
Tm2 0.2394 0.8371 0.7302 1
Tm3 0.5000 0.0000 0.5000 1
Tm4 0.5000 0.5000 0.0000 1
Tm5 0.7606 0.1629 0.2698 1
Tm6 0.7606 0.3371 0.7698 1
Ge1 0.0870 0.5370 0.8265 1
Ge2 0.0870 0.9630 0.3265 1
Ge3 0.4912 0.1330 0.8682 1
Ge4 0.4912 0.3670 0.3682 1
Ge5 0.5088 0.6330 0.6318 1
Ge6 0.5088 0.8670 0.1318 1
Ge7 0.9130 0.0370 0.6735 1
Ge8 0.9130 0.4630 0.1735 1
```

The 10 most intense peaks (2θ from 10° to 90°), sorted by position:
| d [Å] | 2theta | intensity |
| --- | --- | --- |
| 3.374 | 26.4 | 50 |
| 2.875 | 31.1 | 37 |
| 2.740 | 32.7 | 100 |
| 2.689 | 33.3 | 54 |
| 2.653 | 33.8 | 82 |
| 2.609 | 34.4 | 91 |
| 2.480 | 36.2 | 46 |
| 2.432 | 37.0 | 39 |
| 2.416 | 37.2 | 48 |
| 2.386 | 37.7 | 92 |

The following is a calculated XRD peak list of Tb2ZnGe. It was derived from the GGA-PBE geometry in Alexandria, using CuKα.
Lines closer than 0.1° are merged.

Atomic structure:
```
data_Tb2ZnGe
_chemical_formula_sum 'Tb4 Zn2 Ge2'
_cell_length_a 5.8508
_cell_length_b 4.1072
_cell_length_c 8.3721
_cell_angle_alpha 90.00
_cell_angle_beta 109.34
_cell_angle_gamma 90.00
_space_group_name_H-M_alt 'P 1'
_space_group_IT_number 1
loop_
_space_group_symop_operation_xyz
'x,y,z'
loop_
_atom_site_label
_atom_site_fract_x
_atom_site_fract_y
_atom_site_fract_z
_atom_site_occupancy
Tb1 0.2117 0.2500 0.4288 1
Tb2 0.2869 0.7500 0.0690 1
Tb3 0.7131 0.2500 0.9310 1
Tb4 0.7883 0.7500 0.5712 1
Zn1 0.1417 0.2500 0.7864 1
Zn2 0.8583 0.7500 0.2136 1
Ge1 0.3676 0.7500 0.7104 1
Ge2 0.6324 0.2500 0.2896 1
```

The 10 most intense peaks (2θ from 10° to 90°), sorted by position:
| d [Å] | 2theta | intensity |
| --- | --- | --- |
| 3.280 | 27.2 | 26 |
| 2.847 | 31.4 | 100 |
| 2.759 | 32.4 | 43 |
| 2.726 | 32.9 | 26 |
| 2.290 | 39.3 | 47 |
| 2.271 | 39.7 | 19 |
| 2.119 | 42.7 | 24 |
| 2.054 | 44.1 | 22 |
| 1.647 | 55.8 | 18 |
| 1.475 | 63.0 | 15 |

The following is a calculated XRD peak list of Tb2ZnGe. It was derived from the GGA-PBE geometry in Alexandria, using CuKα.
Lines closer than 0.1° are merged.

Atomic structure:
```
data_Tb2ZnGe
_chemical_formula_sum 'Tb6 Zn3 Ge3'
_cell_length_a 4.5548
_cell_length_b 4.5548
_cell_length_c 16.8121
_cell_angle_alpha 90.00
_cell_angle_beta 90.00
_cell_angle_gamma 120.00
_space_group_name_H-M_alt 'P 1'
_space_group_IT_number 1
loop_
_space_group_symop_operation_xyz
'x,y,z'
loop_
_atom_site_label
_atom_site_fract_x
_atom_site_fract_y
_atom_site_fract_z
_atom_site_occupancy
Tb1 0.0000 0.0000 0.2462 1
Tb2 0.0000 0.0000 0.7538 1
Tb3 0.3333 0.6667 0.4205 1
Tb4 0.3333 0.6667 0.9129 1
Tb5 0.6667 0.3333 0.0871 1
Tb6 0.6667 0.3333 0.5795 1
Zn1 0.0000 0.0000 0.0000 1
Zn2 0.3333 0.6667 0.6667 1
Zn3 0.6667 0.3333 0.3333 1
Ge1 0.0000 0.0000 0.5000 1
Ge2 0.3333 0.6667 0.1667 1
Ge3 0.6667 0.3333 0.8333 1
```

The 10 most intense peaks (2θ from 10° to 90°), sorted by position:
| d [Å] | 2theta | intensity |
| --- | --- | --- |
| 3.571 | 24.9 | 23 |
| 2.876 | 31.1 | 100 |
| 2.277 | 39.6 | 52 |
| 1.855 | 49.1 | 27 |
| 1.785 | 51.2 | 25 |
| 1.438 | 64.8 | 12 |
| 1.405 | 66.5 | 22 |
| 1.315 | 71.8 | 9 |
| 1.216 | 78.7 | 13 |
| 1.193 | 80.5 | 12 |

The following is a calculated XRD peak list of Tb2Zn3Ge. It was derived from the GGA-PBE geometry in Alexandria, using CuKα.
Lines closer than 0.1° are merged.

Atomic structure:
```
data_Tb2Zn3Ge
_chemical_formula_sum 'Tb4 Zn6 Ge2'
_cell_length_a 8.7952
_cell_length_b 8.4374
_cell_length_c 5.7028
_cell_angle_alpha 74.11
_cell_angle_beta 67.31
_cell_angle_gamma 38.58
_space_group_name_H-M_alt 'P 1'
_space_group_IT_number 1
loop_
_space_group_symop_operation_xyz
'x,y,z'
loop_
_atom_site_label
_atom_site_fract_x
_atom_site_fract_y
_atom_site_fract_z
_atom_site_occupancy
Tb1 0.2466 0.7534 0.7534 1
Tb2 0.2500 0.2500 0.2500 1
Tb3 0.7500 0.7500 0.7500 1
Tb4 0.7534 0.2466 0.2466 1
Zn1 0.1655 0.1655 0.8345 1
Zn2 0.1677 0.6679 0.3321 1
Zn3 0.3321 0.8323 0.1677 1
Zn4 0.6679 0.1677 0.8323 1
Zn5 0.8323 0.3321 0.6679 1
Zn6 0.8345 0.8345 0.1655 1
Ge1 0.3336 0.3336 0.6664 1
Ge2 0.6664 0.6664 0.3336 1
```

The 10 most intense peaks (2θ from 10° to 90°), sorted by position:
| d [Å] | 2theta | intensity |
| --- | --- | --- |
| 3.809 | 23.4 | 18 |
| 2.628 | 34.1 | 100 |
| 2.199 | 41.0 | 52 |
| 1.815 | 50.3 | 10 |
| 1.686 | 54.4 | 26 |
| 1.400 | 66.8 | 24 |
| 1.338 | 70.4 | 24 |
| 1.270 | 74.8 | 9 |
| 1.153 | 83.9 | 7 |
| 1.099 | 89.0 | 6 |

The following is a calculated XRD peak list of Tb2Zn16Ge. It was derived from the GGA-PBE geometry in Alexandria, using CuKα.
Lines closer than 0.1° are merged.

Atomic structure:
```
data_Tb2Zn16Ge
_chemical_formula_sum 'Tb2 Zn16 Ge1'
_cell_length_a 6.8032
_cell_length_b 6.8032
_cell_length_c 6.8032
_cell_angle_alpha 83.89
_cell_angle_beta 83.89
_cell_angle_gamma 83.89
_space_group_name_H-M_alt 'P 1'
_space_group_IT_number 1
loop_
_space_group_symop_operation_xyz
'x,y,z'
loop_
_atom_site_label
_atom_site_fract_x
_atom_site_fract_y
_atom_site_fract_z
_atom_site_occupancy
Tb1 0.0000 0.0000 0.0000 1
Tb2 0.3326 0.3326 0.3326 1
Zn1 0.0146 0.0146 0.4996 1
Zn2 0.0146 0.4996 0.0146 1
Zn3 0.1553 0.6716 0.6716 1
Zn4 0.3144 0.3144 0.8350 1
Zn5 0.3144 0.8350 0.3144 1
Zn6 0.3575 0.6659 0.9740 1
Zn7 0.3575 0.9740 0.6659 1
Zn8 0.4996 0.0146 0.0146 1
Zn9 0.6659 0.3575 0.9740 1
Zn10 0.6659 0.9740 0.3575 1
Zn11 0.6716 0.1553 0.6716 1
Zn12 0.6716 0.6716 0.1553 1
Zn13 0.7610 0.7610 0.7610 1
Zn14 0.8350 0.3144 0.3144 1
Zn15 0.9740 0.3575 0.6659 1
Zn16 0.9740 0.6659 0.3575 1
Ge1 0.5634 0.5634 0.5634 1
```

The 10 most intense peaks (2θ from 10° to 90°), sorted by position:
| d [Å] | 2theta | intensity |
| --- | --- | --- |
| 3.134 | 28.5 | 24 |
| 2.625 | 34.2 | 41 |
| 2.504 | 35.9 | 17 |
| 2.274 | 39.6 | 54 |
| 2.244 | 40.2 | 100 |
| 2.164 | 41.7 | 44 |
| 2.013 | 45.0 | 27 |
| 1.430 | 65.2 | 19 |
| 1.313 | 71.9 | 20 |
| 1.264 | 75.2 | 19 |

The following is a calculated XRD peak list of TcGe5. It was derived from the GGA-PBE geometry in Alexandria, using CuKα.
Lines closer than 0.1° are merged.

Atomic structure:
```
data_TcGe5
_chemical_formula_sum 'Tc2 Ge10'
_cell_length_a 6.8419
_cell_length_b 6.8419
_cell_length_c 6.8419
_cell_angle_alpha 123.34
_cell_angle_beta 123.34
_cell_angle_gamma 84.31
_space_group_name_H-M_alt 'P 1'
_space_group_IT_number 1
loop_
_space_group_symop_operation_xyz
'x,y,z'
loop_
_atom_site_label
_atom_site_fract_x
_atom_site_fract_y
_atom_site_fract_z
_atom_site_occupancy
Tc1 0.2500 0.2500 0.0000 1
Tc2 0.7500 0.7500 0.0000 1
Ge1 0.0000 0.0000 0.0000 1
Ge2 0.0047 0.5047 0.7902 1
Ge3 0.2145 0.0047 0.5000 1
Ge4 0.2855 0.7855 0.7902 1
Ge5 0.4953 0.2855 0.5000 1
Ge6 0.5000 0.5000 0.0000 1
Ge7 0.5047 0.7145 0.5000 1
Ge8 0.7145 0.2145 0.2098 1
Ge9 0.7855 0.9953 0.5000 1
Ge10 0.9953 0.4953 0.2098 1
```

The 10 most intense peaks (2θ from 10° to 90°), sorted by position:
| d [Å] | 2theta | intensity |
| --- | --- | --- |
| 5.072 | 17.5 | 16 |
| 2.792 | 32.1 | 88 |
| 2.296 | 39.2 | 22 |
| 2.220 | 40.6 | 84 |
| 2.203 | 41.0 | 86 |
| 2.053 | 44.1 | 100 |
| 1.999 | 45.4 | 46 |
| 1.367 | 68.6 | 38 |
| 1.310 | 72.1 | 32 |
| 1.297 | 73.0 | 19 |